No. 1
Simulated X-ray diffraction stick pattern
Compound: LaDy2Y
Radiation: CuKα
Structure: the GGA-PBE geometry in Alexandria

Main lines, in order of rising 2θ (2θ = 15–90°):
h k l, 2θ/deg, I_rel
1 1 1, 18.91, 1
2 0 0, 21.87, 3
2 2 0, 31.13, 100
2 2 2, 38.37, 1
4 0 0, 44.60, 19
4 2 0, 50.20, 2
4 2 2, 55.38, 39
4 4 0, 64.90, 12
6 2 0, 73.73, 17
4 4 4, 82.17, 4

Cell and atoms:
Unit cell a=8.127 b=8.127 c=8.127 alpha=90.00 beta=90.00 gamma=90.00
Space group Fm-3m (No. 225)
Asymmetric unit:
1 La 0.000 0.000 0.000 [4 per cell]
2 Dy 0.250 0.250 0.250 [8 per cell]
3 Y 0.000 0.000 0.500 [4 per cell]

No. 2
Simulated X-ray diffraction stick pattern
Compound: UPa2N5
Radiation: CuKα
Structure: the GGA-PBE geometry in Alexandria

Main lines, in order of rising 2θ (2θ = 15–90°):
h k l, 2θ/deg, I_rel
0 0 2, 28.85, 60
3 0 1, 30.69, 100
1 2 1, 30.93, 81
2 2 0, 31.52, 49
2 2 2, 43.26, 46
4 2 0, 45.01, 17
3 0 3, 52.30, 24
1 2 3, 52.45, 18
5 2 1, 55.46, 27
3 4 1, 62.38, 30

Cell and atoms:
Unit cell a=9.904 b=6.927 c=6.188 alpha=90.00 beta=90.00 gamma=90.00
Space group Pnma (No. 62)
Asymmetric unit:
1 U 0.002 0.250 0.032 [4 per cell]
2 Pa 0.172 0.003 0.505 [8 per cell]
3 N 0.006 0.250 0.467 [4 per cell]
4 N 0.100 0.516 0.147 [8 per cell]
5 N 0.196 0.250 0.843 [4 per cell]
6 N 0.206 0.750 0.828 [4 per cell]

No. 3
Simulated X-ray diffraction stick pattern
Compound: Pr4Sm2DyTm2
Radiation: CuKα
Structure: the GGA-PBE geometry in Alexandria

Main lines, in order of rising 2θ (2θ = 15–90°):
h k l, 2θ/deg, I_rel
3 1 1, 30.18, 100
0 2 0, 34.90, 34
0 0 3, 35.15, 17
6 2 -1, 50.19, 12
6 0 2, 50.37, 24
9 1 0, 59.69, 29
3 1 4, 60.02, 14
6 2 2, 62.75, 12
9 3 0, 81.67, 6
9 1 3, 81.95, 12

Cell and atoms:
Unit cell a=15.427 b=5.140 c=8.080 alpha=90.00 beta=108.56 gamma=90.00
Space group C2/m (No. 12)
Asymmetric unit:
1 Pr 0.054 0.000 0.329 [4 per cell]
2 Pr 0.222 0.500 0.330 [4 per cell]
3 Sm 0.112 0.500 0.671 [4 per cell]
4 Dy 0.000 0.500 0.000 [2 per cell]
5 Tm 0.167 0.000 0.000 [4 per cell]

No. 4
Simulated X-ray diffraction stick pattern
Compound: BaCa3Ac3
Radiation: CuKα
Structure: the GGA-PBE geometry in Alexandria

Main lines, in order of rising 2θ (2θ = 15–90°):
h k l, 2θ/deg, I_rel
1 1 1, 21.64, 18
1 2 0, 25.60, 28
0 0 2, 27.59, 25
1 2 1, 29.14, 100
1 2 2, 37.99, 20
4 1 0, 45.13, 21
1 2 3, 49.75, 23
4 1 2, 53.70, 26
2 4 1, 54.62, 17
7 0 1, 73.47, 15

Cell and atoms:
Unit cell a=10.6316 b=10.6316 c=6.4671 alpha=90.00 beta=90.00 gamma=120.00
Space group P6_3/m (No. 176)
Asymmetric unit:
1 Ba 0.3333 0.6667 0.2500 [2 per cell]
2 Ca 0.0444 0.8088 0.2500 [6 per cell]
3 Ac 0.0983 0.6236 0.7500 [6 per cell]